1.
This entry pairs a crystal structure of Ce3Tl4AuSe8 with its calculated X-ray powder pattern. Radiation: λ = 1.5418 Å (Cu Kα). Structure: a crystal structure in Alexandria, relaxed with PBE.
Lines closer than 0.1° are merged.

Most intense lines, 10° ≤ 2θ ≤ 90°, in order of rising 2θ:
hkl	Position (°2θ)	I_rel
0 0 2	23.00	16.1
4 0 -2	25.27	10.8
2 2 0	25.62	20.3
4 0 0	28.49	52.8
2 2 -2	29.00	100.0
2 2 2	39.64	57.9
6 2 -2	42.49	36.8
0 4 0	43.31	17.6
4 4 0	52.66	19.2
4 4 -4	60.10	11.2
6 2 2	65.01	10.3
10 2 -2	69.04	9.9

Cell: 14.8298 8.3571 9.1522 Å, 90.00 122.32 90.00°
Space group C2/m (No. 12)
Inequivalent atoms, fractional coordinates:
Ce (0.0000, 0.0000, 0.0000) (multiplicity 2)
Ce (0.2500, 0.2500, 0.0000) (multiplicity 4)
Tl (0.0000, 0.0000, 0.5000) (multiplicity 2)
Tl (0.0000, 0.5000, 0.5000) (multiplicity 2)
Tl (0.2500, 0.2500, 0.5000) (multiplicity 4)
Au (0.0000, 0.5000, 0.0000) (multiplicity 2)
Se (0.0163, 0.2537, 0.7977) (multiplicity 8)
Se (0.2352, 0.0000, 0.2101) (multiplicity 4)
Se (0.2486, 0.5000, 0.2154) (multiplicity 4)

***

2.
This entry pairs a crystal structure of K3AlSe3 with its calculated X-ray powder pattern. Radiation: λ = 1.5418 Å (Cu Kα). Structure: a crystal structure in Alexandria, relaxed with PBE.
Lines closer than 0.1° are merged.

Most intense lines, 10° ≤ 2θ ≤ 90°, in order of rising 2θ:
hkl	Position (°2θ)	I_rel
0 1 1	12.99	34.6
0 1 3	23.77	59.5
2 1 1	24.48	72.6
1 2 -1	24.74	100.0
0 1 4	30.32	39.4
1 1 -4	30.65	58.8
3 0 -2	31.13	27.6
3 1 0	31.73	94.6
0 3 1	33.99	27.5
2 2 2	34.14	27.4
3 1 -3	35.96	27.5
1 3 2	38.15	54.9

Cell: 9.1073 8.0889 12.7902 Å, 90.00 98.03 90.00°
Space group P2_1/c (No. 14)
Inequivalent atoms, fractional coordinates:
K (0.0812, 0.1589, 0.1274) (multiplicity 4)
K (0.3150, 0.7246, 0.7902) (multiplicity 4)
K (0.3952, 0.2280, 0.9217) (multiplicity 4)
Al (0.1683, 0.5780, 0.0483) (multiplicity 4)
Se (0.0729, 0.0616, 0.3810) (multiplicity 4)
Se (0.2453, 0.6445, 0.5231) (multiplicity 4)
Se (0.3571, 0.0713, 0.6558) (multiplicity 4)

***

3.
This entry pairs a crystal structure of SrErAl2Ag5 with its calculated X-ray powder pattern. Radiation: λ = 1.5418 Å (Cu Kα). Structure: a crystal structure in Alexandria, relaxed with PBE.
Lines closer than 0.1° are merged.

Most intense lines, 10° ≤ 2θ ≤ 90°, in order of rising 2θ:
hkl	Position (°2θ)	I_rel
1 0 1	21.41	11.6
1 0 2	27.67	6.1
1 1 2	33.72	100.0
1 0 3	35.89	7.4
2 0 0	38.35	41.2
0 0 4	40.68	13.2
2 2 0	55.35	15.2
2 0 4	57.13	18.8
3 1 2	66.41	26.3
1 1 6	69.60	12.2
2 2 4	70.92	9.7
4 0 0	82.12	4.8

Cell: 4.6946 4.6946 8.8724 Å, 90.00 90.00 90.00°
Space group P4/mmm (No. 123)
Inequivalent atoms, fractional coordinates:
Sr (0.0000, 0.0000, 0.0000) (multiplicity 1)
Er (0.0000, 0.0000, 0.5000) (multiplicity 1)
Al (0.5000, 0.5000, 0.3566) (multiplicity 2)
Ag (0.0000, 0.5000, 0.2418) (multiplicity 4)
Ag (0.5000, 0.5000, 0.0000) (multiplicity 1)

***

> Which formula does entry 2 have?

K3AlSe3

***

What did the second record say?
This entry pairs a crystal structure of K3AlSe3 with its calculated X-ray powder pattern. Radiation: λ = 1.5418 Å (Cu Kα). Structure: a crystal structure in Alexandria, relaxed with PBE.
Lines closer than 0.1° are merged.

Most intense lines, 10° ≤ 2θ ≤ 90°, in order of rising 2θ:
hkl	Position (°2θ)	I_rel
0 1 1	12.99	34.6
0 1 3	23.77	59.5
2 1 1	24.48	72.6
1 2 -1	24.74	100.0
0 1 4	30.32	39.4
1 1 -4	30.65	58.8
3 0 -2	31.13	27.6
3 1 0	31.73	94.6
0 3 1	33.99	27.5
2 2 2	34.14	27.4
3 1 -3	35.96	27.5
1 3 2	38.15	54.9

Cell: 9.1073 8.0889 12.7902 Å, 90.00 98.03 90.00°
Space group P2_1/c (No. 14)
Inequivalent atoms, fractional coordinates:
K (0.0812, 0.1589, 0.1274) (multiplicity 4)
K (0.3150, 0.7246, 0.7902) (multiplicity 4)
K (0.3952, 0.2280, 0.9217) (multiplicity 4)
Al (0.1683, 0.5780, 0.0483) (multiplicity 4)
Se (0.0729, 0.0616, 0.3810) (multiplicity 4)
Se (0.2453, 0.6445, 0.5231) (multiplicity 4)
Se (0.3571, 0.0713, 0.6558) (multiplicity 4)